Simulated powder diffractogram
Compound: SmYAg2
Radiation: Cu Kα (weighted mean of Kα1 and Kα2)
Structure: the PBE geometry in the Materials Project
Neutral-atom scattering factors, no anomalous dispersion.

Peak list (10 most intense, 2θ from 15° to 90°, in order of falling intensity)
| index | two_theta | Rel. int. |
| --- | --- | --- |
| 2 2 0 | 34.39 | 100 |
| 4 2 2 | 61.59 | 35 |
| 4 0 0 | 49.42 | 17 |
| 6 2 0 | 82.75 | 15 |
| 4 4 0 | 72.48 | 11 |
| 1 1 1 | 20.86 | 4 |
| 3 1 1 | 40.56 | 2 |
| 3 3 1 | 54.20 | 1 |
| 5 3 1 | 76.38 | 1 |
| 5 1 1 | 65.78 | 1 |

Cell and atoms:
a b c (Å): 7.3767 7.3767 7.3767
angles (deg): 90.00 90.00 90.00
Space group Fm-3m (No. 225)
Unique sites:
Sm1 0.0000 0.0000 0.0000 (multiplicity 4)
Y1 0.0000 0.0000 0.5000 (multiplicity 4)
Ag1 0.2500 0.2500 0.2500 (multiplicity 8)

---

Simulated powder diffractogram
Compound: SmZn2Ag
Radiation: Cu Kα (weighted mean of Kα1 and Kα2)
Structure: the PBE geometry in the Materials Project
Neutral-atom scattering factors, no anomalous dispersion.

Peak list (10 most intense, 2θ from 15° to 90°, in order of falling intensity)
| index | two_theta | Rel. int. |
| --- | --- | --- |
| 2 2 0 | 37.40 | 100 |
| 4 2 2 | 67.47 | 34 |
| 4 0 0 | 53.93 | 17 |
| 2 0 0 | 26.21 | 11 |
| 4 4 0 | 79.78 | 10 |
| 4 2 0 | 60.93 | 4 |
| 2 2 2 | 46.25 | 3 |
| 6 0 0 | 85.72 | 2 |
| 1 1 1 | 22.65 | 2 |
| 3 1 1 | 44.17 | 1 |

Cell and atoms:
a b c (Å): 6.8002 6.8002 6.8002
angles (deg): 90.00 90.00 90.00
Space group Fm-3m (No. 225)
Unique sites:
Sm1 0.0000 0.0000 0.0000 (multiplicity 4)
Zn1 0.2500 0.2500 0.2500 (multiplicity 8)
Ag1 0.0000 0.0000 0.5000 (multiplicity 4)

---

Simulated powder diffractogram
Compound: AgSn3
Radiation: Cu Kα (weighted mean of Kα1 and Kα2)
Structure: the PBE geometry in the Materials Project
Neutral-atom scattering factors, no anomalous dispersion.

Peak list (10 most intense, 2θ from 15° to 90°, in order of falling intensity)
| index | two_theta | Rel. int. |
| --- | --- | --- |
| 2 0 1 | 35.20 | 100 |
| 2 0 0 | 30.48 | 24 |
| 0 0 2 | 34.80 | 23 |
| 2 2 2 | 66.01 | 22 |
| 2 2 0 | 54.16 | 20 |
| 2 0 3 | 62.65 | 19 |
| 4 0 1 | 66.26 | 16 |
| 2 0 2 | 46.93 | 15 |
| 4 0 3 | 87.43 | 8 |
| 4 0 2 | 74.43 | 4 |

Cell and atoms:
a b c (Å): 6.7735 6.7735 5.1556
angles (deg): 90.00 90.00 120.00
Space group P6_3/mmc (No. 194)
Unique sites:
Ag1 0.3333 0.6667 0.2500 (multiplicity 2)
Sn1 0.1695 0.3390 0.7500 (multiplicity 6)